1.
The following is a theoretical powder diffractogram of La2MgSnIr. It was derived from a structure optimized by DFT (PBE), using Cu Kα, 1.54184 Å.

Main lines, low angle first (10° ≤ 2θ ≤ 90°):
2θ 17.45, 5.082 Å, I = 62, hkl 0 0 1
2θ 23.85, 3.731 Å, I = 95, hkl 1 0 1
2θ 28.93, 3.087 Å, I = 40, hkl 1 1 1
2θ 32.59, 2.747 Å, I = 100, hkl 2 0 0
2θ 35.33, 2.541 Å, I = 40, hkl 0 0 2
2θ 37.20, 2.417 Å, I = 37, hkl 2 0 1
2θ 40.79, 2.212 Å, I = 48, hkl 2 1 1
2θ 46.76, 1.943 Å, I = 37, hkl 2 2 0
2θ 48.82, 1.865 Å, I = 65, hkl 2 0 2
2θ 59.94, 1.543 Å, I = 35, hkl 2 2 2

Structure:
Lattice parameters (Å, degrees): 5.495 5.495 5.082 90.00 90.00 90.00
Fractional positions:
La 0.000 0.500 0.000
La 0.500 0.000 0.000
Mg 0.000 0.000 0.500
Sn 0.500 0.500 0.500
Ir 0.000 0.000 0.000

2.
The following is a theoretical powder diffractogram of LiGdErPb. It was derived from a structure optimized by DFT (PBE), using Cu Kα, 1.54184 Å.

Main lines, low angle first (10° ≤ 2θ ≤ 90°):
2θ 20.50, 4.332 Å, I = 32, hkl 1 1 1
2θ 33.79, 2.653 Å, I = 100, hkl 2 2 0
2θ 39.85, 2.262 Å, I = 18, hkl 3 1 1
2θ 48.53, 1.876 Å, I = 18, hkl 4 0 0
2θ 53.21, 1.721 Å, I = 8, hkl 3 3 1
2θ 60.44, 1.532 Å, I = 38, hkl 4 2 2
2θ 64.54, 1.444 Å, I = 6, hkl 5 1 1
2θ 71.07, 1.326 Å, I = 12, hkl 4 4 0
2θ 74.87, 1.268 Å, I = 6, hkl 5 3 1
2θ 81.06, 1.186 Å, I = 17, hkl 6 2 0

Structure:
Lattice parameters (Å, degrees): 7.503 7.503 7.503 90.00 90.00 90.00
Fractional positions:
Li 0.000 0.000 0.000
Li 0.000 0.500 0.500
Li 0.500 0.000 0.500
Li 0.500 0.500 0.000
Gd 0.250 0.250 0.250
Gd 0.250 0.750 0.750
Gd 0.750 0.250 0.750
Gd 0.750 0.750 0.250
Er 0.250 0.250 0.750
Er 0.250 0.750 0.250
Er 0.750 0.250 0.250
Er 0.750 0.750 0.750
Pb 0.000 0.000 0.500
Pb 0.000 0.500 0.000
Pb 0.500 0.000 0.000
Pb 0.500 0.500 0.500

3.
The following is a theoretical powder diffractogram of Ba2ThMnS6. It was derived from a structure optimized by DFT (PBE), using Cu Kα, 1.54184 Å.

Main lines, low angle first (10° ≤ 2θ ≤ 90°):
2θ 15.27, 5.801 Å, I = 19, hkl 0 1 1
2θ 25.04, 3.556 Å, I = 100, hkl 1 1 1
2θ 25.16, 3.540 Å, I = 50, hkl 1 1 -3
2θ 29.44, 3.034 Å, I = 17, hkl 2 1 -1
2θ 29.56, 3.022 Å, I = 14, hkl 1 0 -4
2θ 35.77, 2.511 Å, I = 63, hkl 0 0 4
2θ 44.01, 2.058 Å, I = 20, hkl 2 0 2
2θ 44.23, 2.048 Å, I = 45, hkl 3 1 -5
2θ 51.35, 1.779 Å, I = 19, hkl 2 2 2
2θ 58.01, 1.590 Å, I = 14, hkl 1 1 5

Structure:
Lattice parameters (Å, degrees): 7.115 7.095 12.254 90.00 125.05 90.00
Fractional positions:
Ba 0.240 0.035 0.248
Ba 0.240 0.465 0.748
Ba 0.760 0.535 0.252
Ba 0.760 0.965 0.752
Th 0.500 0.000 0.000
Th 0.500 0.500 0.500
Mn 0.000 0.000 0.500
Mn 0.000 0.500 0.000
S 0.172 0.237 0.970
S 0.172 0.263 0.470
S 0.229 0.704 0.969
S 0.229 0.796 0.469
S 0.289 0.002 0.732
S 0.289 0.498 0.232
S 0.711 0.502 0.768
S 0.711 0.998 0.268
S 0.771 0.204 0.531
S 0.771 0.296 0.031
S 0.828 0.737 0.530
S 0.828 0.763 0.030

4.
The following is a theoretical powder diffractogram of RePCl9. It was derived from a structure optimized by DFT (PBE), using Cu Kα, 1.54184 Å.

Main lines, low angle first (10° ≤ 2θ ≤ 90°):
2θ 11.50, 7.695 Å, I = 79, hkl 0 1 -1
2θ 12.08, 7.326 Å, I = 33, hkl 1 0 0
2θ 14.45, 6.130 Å, I = 62, hkl 1 -1 0
2θ 15.00, 5.908 Å, I = 98, hkl 1 0 -1
2θ 16.10, 5.505 Å, I = 100, hkl 1 -1 1
2θ 17.30, 5.127 Å, I = 35, hkl 1 1 -1
2θ 18.94, 4.685 Å, I = 42, hkl 0 2 -1
2θ 19.96, 4.448 Å, I = 51, hkl 1 1 1
2θ 29.75, 3.003 Å, I = 65, hkl 2 1 1
2θ 33.16, 2.702 Å, I = 36, hkl -1 3 1

Structure:
Lattice parameters (Å, degrees): 7.377 9.726 9.872 103.87 90.15 96.46
Fractional positions:
Re 0.098 0.157 0.140
Re 0.902 0.843 0.860
P 0.443 0.723 0.314
P 0.557 0.277 0.686
Cl 0.027 0.653 0.716
Cl 0.037 0.023 0.307
Cl 0.150 0.290 0.969
Cl 0.200 0.946 0.977
Cl 0.272 0.740 0.468
Cl 0.330 0.337 0.626
Cl 0.332 0.577 0.153
Cl 0.395 0.229 0.228
Cl 0.498 0.908 0.267
Cl 0.502 0.092 0.733
Cl 0.605 0.771 0.772
Cl 0.668 0.423 0.847
Cl 0.670 0.663 0.374
Cl 0.728 0.260 0.532
Cl 0.800 0.054 0.023
Cl 0.850 0.710 0.031
Cl 0.963 0.977 0.693
Cl 0.973 0.347 0.284

5.
The following is a theoretical powder diffractogram of BaTe2N. It was derived from a structure optimized by DFT (PBE), using Cu Kα, 1.54184 Å.

Main lines, low angle first (10° ≤ 2θ ≤ 90°):
2θ 13.22, 6.699 Å, I = 51, hkl 0 0 3
2θ 20.20, 4.397 Å, I = 97, hkl 0 1 2
2θ 28.75, 3.105 Å, I = 100, hkl 0 1 5
2θ 31.69, 2.823 Å, I = 90, hkl 1 1 0
2θ 34.47, 2.602 Å, I = 31, hkl 1 1 3
2θ 36.28, 2.476 Å, I = 20, hkl 1 0 7
2θ 43.31, 2.089 Å, I = 33, hkl 2 0 5
2θ 48.98, 1.860 Å, I = 34, hkl 1 0 10
2θ 54.66, 1.679 Å, I = 33, hkl 1 2 5
2θ 59.52, 1.553 Å, I = 24, hkl 0 2 10

Structure:
Lattice parameters (Å, degrees): 5.647 5.647 20.098 90.00 90.00 120.00
Fractional positions:
Ba 0.000 0.000 0.000
Ba 0.333 0.667 0.667
Ba 0.667 0.333 0.333
Te 0.000 0.000 0.403
Te 0.000 0.000 0.597
Te 0.333 0.667 0.069
Te 0.333 0.667 0.264
Te 0.667 0.333 0.736
Te 0.667 0.333 0.931
N 0.000 0.000 0.500
N 0.333 0.667 0.167
N 0.667 0.333 0.833

6.
The following is a theoretical powder diffractogram of Y3Ho9Th2. It was derived from a structure optimized by DFT (PBE), using Cu Kα, 1.54184 Å.

Main lines, low angle first (10° ≤ 2θ ≤ 90°):
2θ 30.87, 2.897 Å, I = 100, hkl 1 3 2
2θ 35.77, 2.510 Å, I = 34, hkl 0 2 4
2θ 35.82, 2.507 Å, I = 17, hkl 2 1 1
2θ 51.51, 1.774 Å, I = 36, hkl 2 4 0
2θ 61.25, 1.513 Å, I = 32, hkl 1 6 1
2θ 61.32, 1.512 Å, I = 11, hkl 3 4 3
2θ 64.32, 1.448 Å, I = 9, hkl 2 0 6
2θ 84.10, 1.151 Å, I = 15, hkl 3 7 2
2θ 86.76, 1.122 Å, I = 10, hkl 2 -5 3
2θ 86.86, 1.121 Å, I = 7, hkl 4 5 1

Structure:
Lattice parameters (Å, degrees): 5.013 9.390 10.648 67.78 76.41 74.57
Fractional positions:
Y 0.000 0.000 0.000
Y 0.147 0.425 0.283
Y 0.644 0.928 0.785
Ho 0.073 0.213 0.641
Ho 0.219 0.638 0.925
Ho 0.289 0.854 0.568
Ho 0.501 0.498 0.501
Ho 0.571 0.714 0.144
Ho 0.717 0.141 0.426
Ho 0.790 0.353 0.069
Ho 0.860 0.567 0.714
Ho 0.930 0.785 0.355
Th 0.359 0.070 0.212
Th 0.429 0.285 0.857